[1]
Simulated X-ray diffraction stick pattern of Mg2Sn for Cu Kα, from a PBE-relaxed structure.

Atomic structure:
a b c (Å): 8.1398 8.1398 5.5740
angles (deg): 90.00 90.00 156.90
Element x y z (fractional)
Mg (0.0534, 0.9466, 0.7500)
Mg (0.3878, 0.6122, 0.7500)
Mg (0.6122, 0.3878, 0.2500)
Mg (0.9466, 0.0534, 0.2500)
Sn (0.2787, 0.7213, 0.2500)
Sn (0.7213, 0.2787, 0.7500)

Most intense lines, 10 to 90 degrees two-theta, by angle:
2theta  I (rel.)
11.1  100
22.3  14
27.5  13
32.1  51
32.3  39
34.1  15
36.1  72
37.5  35
39.5  14
46.1  13
59.9  17
69.1  17

---

[2]
Simulated X-ray diffraction stick pattern of Cs2Ho3Se6 for Cu Kα, from a PBE-relaxed structure.

Atomic structure:
a b c (Å): 7.1716 7.1716 8.9647
angles (deg): 97.66 97.66 120.00
Element x y z (fractional)
Cs (0.1666, 0.8334, 0.0000)
Cs (0.8334, 0.1666, 0.0000)
Ho (0.0000, 0.0000, 0.5000)
Ho (0.3333, 0.6667, 0.5000)
Ho (0.6667, 0.3333, 0.5000)
Se (0.0618, 0.3945, 0.6834)
Se (0.2729, 0.2729, 0.3168)
Se (0.3945, 0.0618, 0.6834)
Se (0.6055, 0.9382, 0.3166)
Se (0.7271, 0.7271, 0.6832)
Se (0.9382, 0.6055, 0.3166)

Most intense lines, 10 to 90 degrees two-theta, by angle:
2theta  I (rel.)
10.2  46
20.6  10
28.4  100
34.8  17
37.4  33
43.1  11
43.7  35
46.1  10
53.0  19
55.9  10
71.1  19
81.4  10

---

[3]
Simulated X-ray diffraction stick pattern of Ba5As for Cu Kα, from a PBE-relaxed structure.

Atomic structure:
a b c (Å): 9.3461 9.3461 4.6684
angles (deg): 90.00 90.00 120.00
Element x y z (fractional)
Ba (0.0000, 0.7553, 0.0000)
Ba (0.2447, 0.2447, 0.0000)
Ba (0.3333, 0.6667, 0.5000)
Ba (0.6667, 0.3333, 0.5000)
Ba (0.7553, 0.0000, 0.0000)
As (0.0000, 0.0000, 0.5000)

Most intense lines, 10 to 90 degrees two-theta, by angle:
2theta  I (rel.)
19.0  48
22.0  32
27.0  100
29.2  34
33.2  21
35.1  29
38.6  23
43.3  33
49.1  35
51.8  26
62.9  20
73.0  14

---

[4]
Simulated X-ray diffraction stick pattern of GaPbI4Br for Cu Kα, from a PBE-relaxed structure.

Atomic structure:
a b c (Å): 8.6668 8.6668 11.5166
angles (deg): 90.12 90.12 60.45
Element x y z (fractional)
Ga (0.1569, 0.1569, 0.2746)
Ga (0.8431, 0.8431, 0.7254)
Pb (0.3556, 0.3556, 0.0016)
Pb (0.6444, 0.6444, 0.9984)
I (0.0034, 0.0034, 0.1822)
I (0.0139, 0.4887, 0.1880)
I (0.1695, 0.1695, 0.4909)
I (0.4887, 0.0139, 0.1880)
I (0.5113, 0.9861, 0.8120)
I (0.8305, 0.8305, 0.5091)
I (0.9861, 0.5113, 0.8120)
I (0.9966, 0.9966, 0.8178)
Br (0.4979, 0.4979, 0.1672)
Br (0.5021, 0.5021, 0.8328)

Most intense lines, 10 to 90 degrees two-theta, by angle:
2theta  I (rel.)
11.8  31
14.0  100
20.4  32
21.9  92
23.6  34
24.8  31
25.6  29
28.3  67
28.4  52
33.3  81
41.4  29
41.7  47

---

[5]
Simulated X-ray diffraction stick pattern of Li6LaCu2 for Cu Kα, from a PBE-relaxed structure.

Atomic structure:
a b c (Å): 4.0128 4.0128 10.9009
angles (deg): 90.00 90.00 90.00
Element x y z (fractional)
Li (0.0000, 0.0000, 0.0000)
Li (0.0000, 0.5000, 0.2192)
Li (0.0000, 0.5000, 0.7808)
Li (0.5000, 0.0000, 0.2192)
Li (0.5000, 0.0000, 0.7808)
Li (0.5000, 0.5000, 0.0000)
La (0.0000, 0.0000, 0.5000)
Cu (0.5000, 0.5000, 0.3836)
Cu (0.5000, 0.5000, 0.6164)

Most intense lines, 10 to 90 degrees two-theta, by angle:
2theta  I (rel.)
16.3  50
27.6  42
31.5  71
32.6  100
33.3  82
35.7  47
40.0  77
45.2  34
46.0  35
47.5  42
57.3  34
61.9  41

---

[6]
Simulated X-ray diffraction stick pattern of Be2Ag2Mo for Cu Kα, from a PBE-relaxed structure.

Atomic structure:
a b c (Å): 5.8059 5.8059 5.8059
angles (deg): 143.31 143.31 52.86
Element x y z (fractional)
Be (0.0941, 0.0941, 0.0000)
Be (0.9059, 0.9059, 0.0000)
Ag (0.2500, 0.7500, 0.5000)
Ag (0.7500, 0.2500, 0.5000)
Mo (0.5000, 0.5000, 0.0000)

Most intense lines, 10 to 90 degrees two-theta, by angle:
2theta  I (rel.)
17.1  27
25.8  21
34.5  32
34.7  9
35.7  12
38.9  100
49.8  8
49.9  25
62.1  22
64.8  19
83.6  9
86.2  19

---

[7]
Simulated X-ray diffraction stick pattern of PaNbSb2N for Cu Kα, from a PBE-relaxed structure.

Atomic structure:
a b c (Å): 3.8572 3.8572 13.7928
angles (deg): 90.00 90.00 90.00
Element x y z (fractional)
Pa (0.2500, 0.2500, 0.0877)
Pa (0.7500, 0.7500, 0.9123)
Nb (0.2500, 0.2500, 0.5668)
Nb (0.7500, 0.7500, 0.4332)
Sb (0.2500, 0.2500, 0.3562)
Sb (0.2500, 0.2500, 0.7821)
Sb (0.7500, 0.7500, 0.2179)
Sb (0.7500, 0.7500, 0.6438)
N (0.2500, 0.7500, 0.0000)
N (0.7500, 0.2500, 0.0000)

Most intense lines, 10 to 90 degrees two-theta, by angle:
2theta  I (rel.)
26.5  13
30.2  66
32.8  100
34.9  99
47.1  40
52.0  18
57.0  23
57.7  14
60.0  41
68.8  13
72.8  13
78.4  22

---

[8]
Simulated X-ray diffraction stick pattern of LiPuMnRh for Cu Kα, from a PBE-relaxed structure.

Atomic structure:
a b c (Å): 4.4863 4.4863 4.4863
angles (deg): 60.00 60.00 60.00
Element x y z (fractional)
Li (0.0000, 0.0000, 0.0000)
Pu (0.5000, 0.5000, 0.5000)
Mn (0.2500, 0.2500, 0.2500)
Rh (0.7500, 0.7500, 0.7500)

Most intense lines, 10 to 90 degrees two-theta, by angle:
2theta  I (rel.)
24.3  83
28.1  4
40.2  100
47.5  43
49.8  2
58.2  17
64.0  18
65.8  2
73.1  34
78.3  14
86.8  11